Starting from a crystal structure in the Materials Project, relaxed with GGA-PBE, the powder XRD pattern of Sr2Mg was calculated for Cu Kα X-rays.
Neutral-atom scattering factors, no anomalous dispersion.

Peak list (12 most intense, 5° ≤ 2θ ≤ 70°, most intense first)
| 2theta | d/Å | I (rel.) | h k l |
| --- | --- | --- | --- |
| 28.7 | 3.110 | 100 | 1 0 3 |
| 24.2 | 3.685 | 28 | 1 0 0 |
| 42.5 | 2.128 | 25 | 1 1 0 |
| 24.7 | 3.605 | 23 | 1 0 1 |
| 52.1 | 1.756 | 18 | 2 0 3 |
| 20.4 | 4.348 | 18 | 0 0 4 |
| 53.4 | 1.715 | 17 | 1 1 6 |
| 44.0 | 2.060 | 17 | 1 0 7 |
| 69.4 | 1.354 | 16 | 2 1 3 |
| 30.8 | 2.899 | 14 | 0 0 6 |
| 47.6 | 1.911 | 12 | 1 1 4 |
| 39.6 | 2.278 | 11 | 1 0 6 |

Structure:
abc: 4.255 4.255 17.392
angles: 90.00 90.00 120.00
Element x y z (fractional)
1 Sr 0.333 0.667 0.100
2 Sr 0.333 0.667 0.400
3 Sr 0.667 0.333 0.600
4 Sr 0.667 0.333 0.900
5 Mg 0.333 0.667 0.750
6 Mg 0.667 0.333 0.250